LaPr2Nd2Er2: computed powder X-ray diffraction pattern (Cu Ka), based on the PBE geometry in Alexandria.
Intensities are scaled so that the largest is 100.

Cell and atoms:
Lattice parameters (Å, degrees): 17.967 3.553 8.681 90.00 117.40 90.00
Element x y z (fractional)
La 0.000 0.000 0.000
La 0.500 0.500 0.000
Pr 0.148 0.500 0.887
Pr 0.352 0.000 0.113
Pr 0.648 0.000 0.887
Pr 0.852 0.500 0.113
Nd 0.071 0.500 0.405
Nd 0.429 0.000 0.595
Nd 0.571 0.000 0.405
Nd 0.929 0.500 0.595
Er 0.214 0.000 0.301
Er 0.286 0.500 0.699
Er 0.714 0.500 0.301
Er 0.786 0.000 0.699

Main lines, low angle first (2θ from 10° to 90°):
index, two_theta, I/Imax
1 1 -1, 27.12, 43
6 0 -1, 30.07, 100
4 0 -3, 31.58, 40
3 1 -2, 33.16, 52
3 1 1, 35.21, 41
6 2 -1, 60.75, 40